# UTlCr2O8
Theoretical powder XRD pattern, copper Kα. Input: a PBE+U-relaxed structure.
Intensities are scaled so that the largest is 100.

Principal peaks in the range 5° ≤ 2θ ≤ 70°, in order of rising 2θ:
h k l, 2θ/deg, intensity
1 0 0, 17.7, 100
1 0 1, 21.0, 21
1 0 2, 28.8, 98
1 1 0, 30.8, 56
1 1 2, 38.5, 28
2 0 2, 42.7, 39
2 1 2, 53.6, 36
1 1 4, 56.5, 22

Structural model:
abc: 5.8003 5.8003 7.8786
angles: 90.00 90.00 120.00
Space group P-3m1 (No. 164)
Asymmetric unit:
U1 0.0000 0.0000 0.0000 (multiplicity 1)
Tl1 0.0000 0.0000 0.5000 (multiplicity 1)
Cr1 0.3333 0.6667 0.7574 (multiplicity 2)
O1 0.1668 0.3336 0.8428 (multiplicity 6)
O2 0.3333 0.6667 0.5497 (multiplicity 2)